For La3AgGeS7, DFT lattice parameters and positions (PBE) gives the computed X-ray diffraction stick pattern in this record (λ = 1.5418 Å (Cu Kα)).
Kinematic intensities with the Lorentz-polarization factor, no thermal factor.

Most intense lines, 2θ = 5–70°, low angle first:
hkl	2θ/deg	d/Å	I/Imax
1 0 0	9.71	9.113	37.3
1 1 1	22.65	3.926	35.1
2 0 1	24.69	3.606	100.0
1 2 0	25.87	3.444	43.1
2 2 0	34.08	2.631	58.6
1 3 0	35.52	2.527	54.7
1 2 2	40.26	2.240	59.4
1 3 2	47.36	1.919	35.4

Structure:
abc: 10.5225 10.5225 5.8984
angles: 90.00 90.00 120.00
Space group P6_3 (No. 173)
Inequivalent atoms, fractional coordinates:
La 0.1244 0.3590 0.0000 [6 per cell]
Ag 0.0000 0.0000 0.4420 [2 per cell]
Ge 0.3333 0.6667 0.5841 [2 per cell]
S 0.0912 0.2655 0.4860 [6 per cell]
S 0.1094 0.5875 0.7346 [6 per cell]
S 0.3333 0.6667 0.2095 [2 per cell]

For Sr2MgCuO3, DFT lattice parameters and positions (PBE) gives the computed X-ray diffraction stick pattern in this record (λ = 1.5418 Å (Cu Kα)).
Kinematic intensities with the Lorentz-polarization factor, no thermal factor.

Most intense lines, 2θ = 5–70°, low angle first:
hkl	2θ/deg	d/Å	I/Imax
1 3 0	27.68	3.223	100.0
0 6 0	28.23	3.161	67.6
0 5 1	33.62	2.666	25.9
1 0 1	33.84	2.649	34.1
1 2 1	35.18	2.551	78.4
2 0 0	48.62	1.873	26.8
0 2 2	49.61	1.838	25.8
1 8 1	51.75	1.767	42.3

Structure:
abc: 3.7447 18.9669 3.7479
angles: 90.00 90.00 90.00
Space group Imm2 (No. 44)
Inequivalent atoms, fractional coordinates:
Sr 0.0000 0.1840 0.0000 [4 per cell]
Mg 0.0000 0.0000 0.3585 [2 per cell]
Cu 0.0000 0.5000 0.3460 [2 per cell]
O 0.0000 0.3108 0.0104 [4 per cell]
O 0.0000 0.5000 0.8438 [2 per cell]